Simulated powder diffractogram of GaCo3Br9 for CuKα, from a crystal structure in Alexandria, relaxed with PBE.
Kinematic intensities with the Lorentz-polarization factor, no thermal factor.

Largest 6 diffraction maxima, sorted by position, 15° ≤ 2θ ≤ 90°:
2θ 17.48, 5.073 Å, I = 87
2θ 28.46, 3.136 Å, I = 100
2θ 28.70, 3.111 Å, I = 48
2θ 28.81, 3.098 Å, I = 39
2θ 28.97, 3.082 Å, I = 47
2θ 46.91, 1.937 Å, I = 35

Cell and atoms:
abc: 19.407 8.804 13.716
angles: 90.00 133.56 90.00
Space group Cc (No. 9)
Inequivalent atoms, fractional coordinates:
Ga: 0.000 0.050 0.000
Co: 0.117 0.294 0.773
Co: 0.278 0.132 0.161
Co: 0.474 0.167 0.761
Br: 0.060 0.125 0.421
Br: 0.085 0.461 0.876
Br: 0.156 0.174 0.166
Br: 0.189 0.415 0.718
Br: 0.231 0.116 0.949
Br: 0.351 0.110 0.757
Br: 0.377 0.358 0.263
Br: 0.423 0.241 0.553
Br: 0.472 0.344 0.090